1.
Diffraction record for Sm2Y2Th. The PXRD pattern is theoretical, not measured: it uses a structure optimized by DFT (GGA-PBE) and Cu Kα.
Intensities are scaled so that the largest is 100.

Largest 8 diffraction maxima, by angle, 2θ = 15–90°:
Position (°2θ), d_spacing, I/Imax, h k l
30.61, 2.920, 89, 1 1 2
30.93, 2.891, 100, 1 5 0
32.65, 2.743, 44, 2 0 0
33.01, 2.713, 42, 0 4 2
34.13, 2.627, 24, 1 3 2
47.12, 1.929, 32, 2 4 2
57.85, 1.594, 19, 1 9 2
61.65, 1.504, 28, 1 5 4

Crystal structure
Unit cell a=5.485 b=17.012 c=7.047 alpha=90.00 beta=90.00 gamma=90.00
Space group Cmc2_1 (No. 36)
Inequivalent atoms, fractional coordinates:
1 Sm 0.000 0.104 0.000 x4
2 Sm 0.000 0.301 0.250 x4
3 Y 0.000 0.301 0.752 x4
4 Y 0.000 0.499 0.248 x4
5 Th 0.000 0.108 0.500 x4


2.
Diffraction record for Sm9Y3Th2. The PXRD pattern is theoretical, not measured: it uses a structure optimized by DFT (GGA-PBE) and Cu Kα.
Intensities are scaled so that the largest is 100.

Largest 8 diffraction maxima, by angle, 2θ = 15–90°:
Position (°2θ), d_spacing, I/Imax, h k l
30.46, 2.934, 46, 3 3 0
31.35, 2.854, 54, 2 0 -2
31.85, 2.810, 100, 4 0 1
31.97, 2.799, 86, 1 3 1
44.27, 2.046, 33, 5 3 -2
56.12, 1.639, 20, 2 0 3
57.76, 1.596, 19, 5 3 2
62.51, 1.486, 29, 4 6 1

Crystal structure
Unit cell a=17.110 b=10.503 c=5.708 alpha=90.00 beta=109.40 gamma=90.00
Space group Cm (No. 8)
Inequivalent atoms, fractional coordinates:
1 Sm 0.000 0.000 0.000 x2
2 Sm 0.179 0.171 0.181 x4
3 Sm 0.281 0.166 0.784 x4
4 Sm 0.384 0.331 0.386 x4
5 Sm 0.483 0.169 0.985 x4
6 Y 0.176 0.500 0.178 x2
7 Y 0.290 0.500 0.791 x2
8 Y 0.385 0.000 0.387 x2
9 Th 0.091 0.332 0.593 x4


3.
Diffraction record for Sm5Y4Th3. The PXRD pattern is theoretical, not measured: it uses a structure optimized by DFT (GGA-PBE) and Cu Kα.
Intensities are scaled so that the largest is 100.

Largest 8 diffraction maxima, by angle, 2θ = 15–90°:
Position (°2θ), d_spacing, I/Imax, h k l
28.86, 3.094, 30, 2 0 2
29.51, 3.027, 100, 0 2 0
31.12, 2.874, 50, 4 0 1
31.81, 2.813, 33, 5 1 -1
32.48, 2.756, 74, 5 1 -2
32.98, 2.716, 76, 1 1 -3
41.75, 2.164, 22, 2 2 2
43.42, 2.084, 40, 4 2 1

Crystal structure
Unit cell a=15.993 b=6.053 c=9.456 alpha=90.00 beta=116.36 gamma=90.00
Space group C2/m (No. 12)
Inequivalent atoms, fractional coordinates:
1 Sm 0.000 0.000 0.000 x2
2 Sm 0.076 0.500 0.700 x4
3 Sm 0.171 0.500 0.375 x4
4 Y 0.084 0.000 0.446 x4
5 Y 0.211 0.000 0.882 x4
6 Th 0.000 0.500 0.000 x2
7 Th 0.211 0.000 0.240 x4


4.
Diffraction record for Sm2Y12Th. The PXRD pattern is theoretical, not measured: it uses a structure optimized by DFT (GGA-PBE) and Cu Kα.
Intensities are scaled so that the largest is 100.

Largest 8 diffraction maxima, by angle, 2θ = 15–90°:
Position (°2θ), d_spacing, I/Imax, h k l
29.16, 3.062, 49, 2 0 4
29.57, 3.021, 70, 0 2 7
30.64, 2.918, 65, 2 2 2
31.11, 2.875, 100, 0 4 0
31.71, 2.822, 38, 2 2 3
32.76, 2.733, 88, 0 2 8
33.15, 2.703, 86, 2 2 4
36.99, 2.430, 48, 2 2 6

Crystal structure
Unit cell a=7.038 b=11.499 c=24.855 alpha=90.00 beta=90.00 gamma=90.00
Space group Cmme (No. 67)
Inequivalent atoms, fractional coordinates:
1 Sm 0.000 0.250 0.232 x4
2 Sm 0.000 0.250 0.767 x4
3 Y 0.000 0.000 0.425 x8
4 Y 0.000 0.001 0.062 x8
5 Y 0.250 0.000 0.174 x8
6 Y 0.250 0.000 0.302 x8
7 Y 0.250 0.250 0.086 x8
8 Y 0.250 0.250 0.375 x8
9 Th 0.000 0.250 0.500 x4


5.
Diffraction record for Sm3YTh. The PXRD pattern is theoretical, not measured: it uses a structure optimized by DFT (GGA-PBE) and Cu Kα.
Intensities are scaled so that the largest is 100.

Largest 8 diffraction maxima, by angle, 2θ = 15–90°:
Position (°2θ), d_spacing, I/Imax, h k l
28.76, 3.104, 27, 1 3 0
29.90, 2.988, 27, 1 3 1
30.31, 2.949, 100, 1 1 3
32.78, 2.732, 49, 2 0 0
33.10, 2.706, 53, 1 3 2
37.90, 2.374, 32, 1 3 3
56.99, 1.616, 17, 3 1 3
65.31, 1.429, 21, 1 7 3

Crystal structure
Unit cell a=5.464 b=11.315 c=11.053 alpha=90.00 beta=90.00 gamma=90.00
Space group Cmmm (No. 65)
Inequivalent atoms, fractional coordinates:
1 Sm 0.000 0.000 0.171 x4
2 Sm 0.000 0.348 0.305 x8
3 Y 0.000 0.344 0.000 x4
4 Th 0.000 0.136 0.500 x4


6.
Diffraction record for SmY6Th2. The PXRD pattern is theoretical, not measured: it uses a structure optimized by DFT (GGA-PBE) and Cu Kα.
Intensities are scaled so that the largest is 100.

Largest 8 diffraction maxima, by angle, 2θ = 15–90°:
Position (°2θ), d_spacing, I/Imax, h k l
28.68, 3.113, 51, 1 0 0
30.43, 2.938, 89, 0 0 9
31.77, 2.817, 71, 1 0 4
33.40, 2.683, 100, 1 0 5
42.29, 2.137, 34, 1 0 9
50.79, 1.798, 48, 1 1 0
57.02, 1.615, 30, 1 0 14
60.37, 1.533, 56, 1 1 9

Crystal structure
Unit cell a=3.5946 b=3.5946 c=26.4515 alpha=90.00 beta=90.00 gamma=120.00
Space group P-6m2 (No. 187)
Inequivalent atoms, fractional coordinates:
1 Sm 0.0000 0.0000 0.0000 x1
2 Y 0.0000 0.0000 0.2186 x2
3 Y 0.0000 0.0000 0.4370 x2
4 Y 0.3333 0.6667 0.1106 x2
5 Th 0.3333 0.6667 0.3300 x2


7.
Diffraction record for SmY2Th2. The PXRD pattern is theoretical, not measured: it uses a structure optimized by DFT (GGA-PBE) and Cu Kα.
Intensities are scaled so that the largest is 100.

Largest 8 diffraction maxima, by angle, 2θ = 15–90°:
Position (°2θ), d_spacing, I/Imax, h k l
29.44, 3.034, 49, 0 1 1
30.42, 2.939, 47, 0 0 5
31.31, 2.857, 100, 1 0 2
34.22, 2.620, 82, 0 1 3
37.97, 2.370, 25, 1 0 4
51.01, 1.790, 34, 1 1 0
52.65, 1.738, 25, 1 0 7
60.56, 1.529, 40, 1 1 5

Crystal structure
Unit cell a=3.5806 b=3.5806 c=14.6942 alpha=90.00 beta=90.00 gamma=120.00
Space group P-3m1 (No. 164)
Inequivalent atoms, fractional coordinates:
1 Sm 0.0000 0.0000 0.0000 x1
2 Y 0.3333 0.6667 0.8002 x2
3 Th 0.3333 0.6667 0.4019 x2


8.
Diffraction record for Sm4Y5Th. The PXRD pattern is theoretical, not measured: it uses a structure optimized by DFT (GGA-PBE) and Cu Kα.
Intensities are scaled so that the largest is 100.

Largest 8 diffraction maxima, by angle, 2θ = 15–90°:
Position (°2θ), d_spacing, I/Imax, h k l
19.37, 4.582, 33, 1 1 -1
28.91, 3.088, 44, 3 1 -1
31.49, 2.841, 100, 3 1 -2
31.64, 2.828, 100, 1 1 3
32.83, 2.728, 74, 0 2 0
34.79, 2.579, 50, 2 0 -4
47.67, 1.908, 34, 4 2 1
57.81, 1.595, 36, 1 3 3

Crystal structure
Unit cell a=11.499 b=5.457 c=10.907 alpha=90.00 beta=97.86 gamma=90.00
Space group C2/m (No. 12)
Inequivalent atoms, fractional coordinates:
1 Sm 0.069 0.000 0.272 x4
2 Sm 0.140 0.500 0.766 x4
3 Y 0.000 0.500 0.000 x2
4 Y 0.178 0.000 0.944 x4
5 Y 0.222 0.000 0.599 x4
6 Th 0.000 0.500 0.500 x2


9.
Diffraction record for Sm5Y6Th2. The PXRD pattern is theoretical, not measured: it uses a structure optimized by DFT (GGA-PBE) and Cu Kα.
Intensities are scaled so that the largest is 100.

Largest 8 diffraction maxima, by angle, 2θ = 15–90°:
Position (°2θ), d_spacing, I/Imax, h k l
28.99, 3.080, 21, 1 3 1
29.87, 2.991, 20, 2 6 0
30.48, 2.932, 22, 2 2 1
30.86, 2.897, 44, 1 7 0
31.14, 2.872, 100, 4 1 0
31.98, 2.798, 73, 2 3 1
33.98, 2.638, 49, 2 4 1
36.46, 2.464, 22, 3 3 1

Crystal structure
Unit cell a=11.600 b=20.944 c=3.593 alpha=90.00 beta=90.00 gamma=90.00
Space group Pbam (No. 55)
Inequivalent atoms, fractional coordinates:
1 Sm 0.000 0.000 0.000 x2
2 Sm 0.067 0.292 0.000 x4
3 Sm 0.192 0.577 0.000 x4
4 Y 0.065 0.147 0.500 x4
5 Y 0.078 0.436 0.500 x4
6 Y 0.185 0.876 0.000 x4
7 Th 0.187 0.734 0.500 x4


10.
Diffraction record for SmYTh. The PXRD pattern is theoretical, not measured: it uses a structure optimized by DFT (GGA-PBE) and Cu Kα.
Intensities are scaled so that the largest is 100.

Largest 8 diffraction maxima, by angle, 2θ = 15–90°:
Position (°2θ), d_spacing, I/Imax, h k l
27.59, 3.233, 69, 1 1 1
31.34, 2.854, 23, 0 0 3
33.11, 2.706, 100, 1 1 2
36.39, 2.469, 46, 2 0 0
48.77, 1.867, 28, 2 0 3
60.22, 1.537, 36, 1 1 5
63.41, 1.467, 31, 3 1 2
83.86, 1.154, 19, 3 1 5

Crystal structure
Unit cell a=4.938 b=4.938 c=8.561 alpha=90.00 beta=90.00 gamma=90.00
Space group P4/nmm (No. 129, origin choice 2)
Inequivalent atoms, fractional coordinates:
1 Sm 0.250 0.250 0.214 x2
2 Y 0.250 0.250 0.798 x2
3 Th 0.250 0.750 0.500 x2


11.
Diffraction record for SmYTh. The PXRD pattern is theoretical, not measured: it uses a structure optimized by DFT (GGA-PBE) and Cu Kα.
Intensities are scaled so that the largest is 100.

Largest 8 diffraction maxima, by angle, 2θ = 15–90°:
Position (°2θ), d_spacing, I/Imax, h k l
30.46, 2.934, 100, 1 0 1
35.32, 2.541, 53, 0 1 2
50.75, 1.799, 18, 1 1 0
50.87, 1.795, 18, 1 0 4
60.38, 1.533, 32, 0 2 1
60.50, 1.530, 12, 0 1 5
63.35, 1.468, 10, 2 0 2
82.68, 1.167, 9, 2 1 1

Crystal structure
Unit cell a=3.5976 b=3.5976 c=8.7842 alpha=90.00 beta=90.00 gamma=120.00
Space group P3m1 (No. 156)
Inequivalent atoms, fractional coordinates:
1 Sm 0.0000 0.0000 0.0000 x1
2 Y 0.3333 0.6667 0.6500 x1
3 Th 0.6667 0.3333 0.3267 x1


12.
Diffraction record for Sm4YTh2. The PXRD pattern is theoretical, not measured: it uses a structure optimized by DFT (GGA-PBE) and Cu Kα.
Intensities are scaled so that the largest is 100.

Largest 8 diffraction maxima, by angle, 2θ = 15–90°:
Position (°2θ), d_spacing, I/Imax, h k l
20.18, 4.400, 15, 1 0 1
31.01, 2.884, 100, 1 1 2
34.97, 2.566, 18, 0 2 0
36.31, 2.474, 16, 0 0 4
36.58, 2.456, 16, 2 0 0
60.26, 1.536, 15, 1 3 2
62.05, 1.496, 14, 1 1 6
62.42, 1.488, 14, 3 1 2

Crystal structure
Unit cell a=4.913 b=5.132 c=9.897 alpha=90.00 beta=90.07 gamma=90.00
Space group P2/m (No. 10)
Inequivalent atoms, fractional coordinates:
1 Sm 0.000 0.000 0.241 x2
2 Sm 0.500 0.500 0.249 x2
3 Y 0.000 0.500 0.500 x1
4 Th 0.000 0.500 0.000 x1
5 Th 0.500 0.000 0.500 x1